# 1
Starting from a cell relaxed with PBE, the X-ray diffraction stick pattern of CuClF10 was simulated for CuKα.

a = 7.8863 Å, b = 9.3123 Å, c = 5.1484 Å
α = 90.00°, β = 102.98°, γ = 90.00°
Element x y z (fractional)
Cu1 0.0000 0.0000 0.0000
Cu2 0.0000 0.5000 0.5000
Cl1 0.5000 0.0000 0.5000
Cl2 0.5000 0.5000 0.0000
F1 0.0884 0.1579 0.8875
F2 0.0884 0.3421 0.3875
F3 0.0912 0.6043 0.2805
F4 0.0912 0.8957 0.7805
F5 0.3418 0.0970 0.5915
F6 0.3418 0.4030 0.0915
F7 0.3459 0.6207 0.8411
F8 0.3459 0.8793 0.3411
F9 0.4740 0.0977 0.2146
F10 0.4740 0.4023 0.7146
F11 0.5260 0.5977 0.2854
F12 0.5260 0.9023 0.7854
F13 0.6541 0.1207 0.6589
F14 0.6541 0.3793 0.1589
F15 0.6582 0.5970 0.9085
F16 0.6582 0.9030 0.4085
F17 0.9088 0.1043 0.2195
F18 0.9088 0.3957 0.7195
F19 0.9116 0.6579 0.6125
F20 0.9116 0.8421 0.1125

Main lines, in order of rising 2θ (15° ≤ 2θ ≤ 90°):
d (Å), Rel. int.
4.656, 66
4.205, 100
3.842, 53
3.539, 96
2.964, 29
2.651, 28


# 2
Starting from a cell relaxed with PBE, the X-ray diffraction stick pattern of NdEu2SbO6 was simulated for CuKα.

a = 6.0573 Å, b = 6.0573 Å, c = 6.0573 Å
α = 60.00°, β = 60.00°, γ = 60.00°
Element x y z (fractional)
Nd1 0.0000 0.0000 0.0000
Eu1 0.2500 0.2500 0.2500
Eu2 0.7500 0.7500 0.7500
Sb1 0.5000 0.5000 0.5000
O1 0.2673 0.2673 0.7327
O2 0.2673 0.7327 0.2673
O3 0.2673 0.7327 0.7327
O4 0.7327 0.2673 0.2673
O5 0.7327 0.2673 0.7327
O6 0.7327 0.7327 0.2673

Main lines, in order of rising 2θ (15° ≤ 2θ ≤ 90°):
d (Å), Rel. int.
3.029, 100
2.142, 29
1.749, 41
1.514, 18
1.354, 18
1.145, 22


# 3
Starting from a cell relaxed with PBE, the X-ray diffraction stick pattern of Sr11Ru10O33 was simulated for CuKα.

a = 8.8948 Å, b = 8.9467 Å, c = 9.7356 Å
α = 100.83°, β = 90.11°, γ = 113.48°
Element x y z (fractional)
Sr1 0.0000 0.0000 0.0000
Sr2 0.1150 0.7433 0.4570
Sr3 0.1811 0.4563 0.9090
Sr4 0.2864 0.1719 0.3727
Sr5 0.3726 0.9153 0.8003
Sr6 0.4565 0.6582 0.2881
Sr7 0.5435 0.3418 0.7119
Sr8 0.6274 0.0847 0.1997
Sr9 0.7136 0.8281 0.6273
Sr10 0.8189 0.5437 0.0910
Sr11 0.8850 0.2567 0.5430
Ru1 0.0481 0.3643 0.2287
Ru2 0.1368 0.0898 0.6828
Ru3 0.2295 0.8190 0.1335
Ru4 0.3158 0.5449 0.5908
Ru5 0.4094 0.2755 0.0480
Ru6 0.5906 0.7245 0.9520
Ru7 0.6842 0.4551 0.4092
Ru8 0.7705 0.1810 0.8665
Ru9 0.8632 0.9102 0.3172
Ru10 0.9519 0.6357 0.7713
O1 0.0000 0.0000 0.5000
O2 0.0411 0.8612 0.7276
O3 0.0508 0.8621 0.2208
O4 0.0864 0.7226 0.9489
O5 0.1335 0.5858 0.6826
O6 0.1376 0.5923 0.1795
O7 0.1825 0.4531 0.4121
O8 0.2236 0.3112 0.6406
O9 0.2265 0.3181 0.1353
O10 0.2681 0.1795 0.8669
O11 0.3084 0.0459 0.5957
O12 0.3169 0.0444 0.0871
O13 0.3575 0.9044 0.3067
O14 0.4049 0.7618 0.5495
O15 0.4102 0.7691 0.0413
O16 0.4515 0.6319 0.7725
O17 0.5000 0.5000 0.0000
O18 0.5000 0.5000 0.5000
O19 0.5485 0.3681 0.2275
O20 0.5898 0.2309 0.9587
O21 0.5951 0.2382 0.4505
O22 0.6425 0.0956 0.6933
O23 0.6831 0.9556 0.9129
O24 0.6916 0.9541 0.4043
O25 0.7319 0.8205 0.1331
O26 0.7735 0.6819 0.8647
O27 0.7764 0.6888 0.3594
O28 0.8175 0.5469 0.5879
O29 0.8624 0.4077 0.8205
O30 0.8665 0.4142 0.3174
O31 0.9136 0.2774 0.0511
O32 0.9492 0.1379 0.7792
O33 0.9589 0.1388 0.2724

Main lines, in order of rising 2θ (15° ≤ 2θ ≤ 90°):
d (Å), Rel. int.
2.823, 100
2.818, 99
2.809, 98
2.003, 34
1.631, 37
1.623, 37


# 4
Starting from a cell relaxed with PBE, the X-ray diffraction stick pattern of PtBr3N2 was simulated for CuKα.

a = 10.8981 Å, b = 9.9931 Å, c = 9.0281 Å
α = 69.70°, β = 59.32°, γ = 50.98°
Element x y z (fractional)
Pt1 0.1250 0.1250 0.1250
Pt2 0.3750 0.3750 0.3750
Pt3 0.6250 0.6250 0.6250
Pt4 0.8750 0.8750 0.8750
Br1 0.0289 0.0289 0.7211
Br2 0.1048 0.6452 0.6452
Br3 0.2227 0.2227 0.5273
Br4 0.2789 0.2789 0.9711
Br5 0.3548 0.8952 0.8952
Br6 0.4727 0.4727 0.7773
Br7 0.5273 0.5273 0.2227
Br8 0.6452 0.1048 0.1048
Br9 0.7211 0.7211 0.0289
Br10 0.7773 0.7773 0.4727
Br11 0.8952 0.3548 0.3548
Br12 0.9711 0.9711 0.2789
N1 0.0051 0.7449 0.0051
N2 0.2476 0.5024 0.2476
N3 0.2551 0.9949 0.2551
N4 0.4976 0.7524 0.4976
N5 0.5024 0.2476 0.5024
N6 0.7449 0.0051 0.7449
N7 0.7524 0.4976 0.7524
N8 0.9949 0.2551 0.9949

Main lines, in order of rising 2θ (15° ≤ 2θ ≤ 90°):
d (Å), Rel. int.
5.384, 97
4.391, 100
3.543, 66
2.797, 44
2.572, 58
1.893, 44


# 5
Starting from a cell relaxed with PBE, the X-ray diffraction stick pattern of Mg7Cr was simulated for CuKα.

a = 6.2919 Å, b = 6.2919 Å, c = 5.0707 Å
α = 90.00°, β = 90.00°, γ = 120.00°
Element x y z (fractional)
Mg1 0.0000 0.0000 0.0000
Mg2 0.0066 0.5033 0.0000
Mg3 0.3343 0.1671 0.5000
Mg4 0.4967 0.5033 0.0000
Mg5 0.4967 0.9934 0.0000
Mg6 0.8329 0.1671 0.5000
Mg7 0.8329 0.6657 0.5000
Cr1 0.3333 0.6667 0.5000

Main lines, in order of rising 2θ (15° ≤ 2θ ≤ 90°):
d (Å), Rel. int.
2.724, 25
2.535, 26
2.400, 100
1.573, 17
1.436, 18
1.337, 18